This entry pairs a crystal structure of CuAg2 with its theoretical XRD peak list. Radiation: a wavelength of 1.5418 Å. Structure: DFT lattice parameters and positions (PBE).
Neutral-atom scattering factors, no anomalous dispersion.

Most intense lines, 10 to 90 degrees two-theta, low angle first:
- d 2.324, 2θ 38.75, I 52
- d 2.315, 2θ 38.90, I 50
- d 2.287, 2θ 39.41, I 100
- d 2.028, 2θ 44.68, I 70
- d 1.931, 2θ 47.05, I 27
- d 1.450, 2θ 64.22, I 11
- d 1.418, 2θ 65.84, I 10
- d 1.400, 2θ 66.80, I 17
- d 1.397, 2θ 67.00, I 17
- d 1.226, 2θ 77.93, I 12
- d 1.223, 2θ 78.12, I 11
- d 1.210, 2θ 79.15, I 23

Cell and atoms:
```
9
Lattice="5.978 -1.418 0.000 5.978 1.418 0.000 -2.143 0.000 8.434" Properties=species:S:1:pos:R:3 pbc="T T T"
Cu 0.000 0.000 0.000
Cu -0.668 0.000 3.039
Cu 6.780 0.000 4.687
Ag -1.310 0.000 5.666
Ag 3.004 0.000 3.802
Ag 2.319 0.000 6.604
Ag 3.949 0.000 1.113
Ag 7.315 0.000 1.926
Ag 6.063 0.000 7.673
```



This entry pairs a crystal structure of YEr2FeCo2Ni6 with its theoretical XRD peak list. Radiation: a wavelength of 1.5418 Å. Structure: DFT lattice parameters and positions (PBE).
Neutral-atom scattering factors, no anomalous dispersion.

Most intense lines, 10 to 90 degrees two-theta, low angle first:
- d 8.019, 2θ 11.03, I 21
- d 2.688, 2θ 33.33, I 51
- d 2.490, 2θ 36.07, I 57
- d 2.467, 2θ 36.42, I 42
- d 2.148, 2θ 42.07, I 45
- d 2.115, 2θ 42.75, I 100
- d 2.030, 2θ 44.64, I 24
- d 1.968, 2θ 46.13, I 29
- d 1.951, 2θ 46.56, I 27
- d 1.353, 2θ 69.45, I 22
- d 1.349, 2θ 69.73, I 18
- d 1.245, 2θ 76.52, I 26

Cell and atoms:
```
12
Lattice="2.490 1.438 8.019 -2.490 1.438 8.019 0.000 -2.875 8.019" Properties=species:S:1:pos:R:3 pbc="T T T"
Y 0.000 0.000 0.000
Er 0.000 0.000 3.335
Er 0.000 0.000 20.724
Fe 0.000 0.000 12.029
Co 0.000 0.000 8.027
Co 0.000 0.000 16.032
Ni -1.249 -0.721 10.020
Ni 0.000 -1.442 14.039
Ni -1.249 0.721 14.039
Ni 1.249 -0.721 10.020
Ni 0.000 1.442 10.020
Ni 1.249 0.721 14.039
```



This entry pairs a crystal structure of ErTm2Al3Ni3 with its theoretical XRD peak list. Radiation: a wavelength of 1.5418 Å. Structure: DFT lattice parameters and positions (PBE).
Neutral-atom scattering factors, no anomalous dispersion.

Most intense lines, 10 to 90 degrees two-theta, low angle first:
- d 3.915, 2θ 22.72, I 31
- d 3.428, 2θ 26.00, I 38
- d 2.968, 2θ 30.11, I 34
- d 2.579, 2θ 34.79, I 100
- d 2.365, 2θ 38.04, I 94
- d 2.244, 2θ 40.19, I 31
- d 1.957, 2θ 46.39, I 23
- d 1.947, 2θ 46.66, I 18
- d 1.647, 2θ 55.83, I 25
- d 1.518, 2θ 61.05, I 36
- d 1.286, 2θ 73.64, I 18
- d 1.260, 2θ 75.44, I 21

Cell and atoms:
```
9
Lattice="3.915 0.000 0.000 0.000 5.938 3.427 0.000 -5.938 3.427" Properties=species:S:1:pos:R:3 pbc="T T T"
Er 0.000 0.000 0.000
Tm 0.000 -2.465 2.584
Tm 0.000 2.465 2.584
Al 1.957 0.000 2.378
Al 1.957 -1.412 4.818
Al 1.957 1.412 4.818
Ni 0.000 0.000 3.999
Ni 1.957 -3.950 4.008
Ni 1.957 3.950 4.008
```



This entry pairs a crystal structure of Ta3CSN with its theoretical XRD peak list. Radiation: a wavelength of 1.5418 Å. Structure: DFT lattice parameters and positions (PBE).
Neutral-atom scattering factors, no anomalous dispersion.

Most intense lines, 10 to 90 degrees two-theta, low angle first:
- d 2.885, 2θ 30.99, I 31
- d 2.705, 2θ 33.12, I 63
- d 2.611, 2θ 34.35, I 35
- d 2.314, 2θ 38.92, I 100
- d 2.164, 2θ 41.74, I 14
- d 2.148, 2θ 42.07, I 61
- d 1.581, 2θ 58.37, I 39
- d 1.574, 2θ 58.65, I 20
- d 1.463, 2θ 63.58, I 18
- d 1.387, 2θ 67.56, I 22
- d 1.305, 2θ 72.39, I 16
- d 1.277, 2θ 74.30, I 21

Cell and atoms:
```
12
Lattice="3.162 0.000 0.000 -1.581 2.738 0.000 0.000 0.000 17.313" Properties=species:S:1:pos:R:3 pbc="T T T"
Ta 0.000 0.000 0.000
Ta 0.000 0.000 8.656
Ta 0.000 1.826 2.510
Ta 0.000 1.826 6.130
Ta 1.581 0.913 11.183
Ta 1.581 0.913 14.803
C 0.000 1.826 9.956
C 1.581 0.913 7.357
S 0.000 0.000 4.267
S 0.000 0.000 13.046
N 0.000 1.826 16.083
N 1.581 0.913 1.229
```